Calculated powder X-ray diffraction pattern
Compound: Ca2Nb2FeO8
Radiation: Cu Kα
Structure: the PBE+U geometry in Alexandria

Cell and atoms:
```
data_Ca2Nb2FeO8
_chemical_formula_sum 'Ca8 Nb8 Fe4 O32'
_symmetry_space_group_name_H-M 'C 1 2/c 1'
_symmetry_Int_Tables_number 15
_cell_length_a 19.1562
_cell_length_b 6.2919
_cell_length_c 5.5427
_cell_angle_alpha 90.00
_cell_angle_beta 91.01
_cell_angle_gamma 90.00
loop_
_symmetry_equiv_pos_as_xyz
'x,y,z'
'-x,-y,-z'
'-x,y,-z+1/2'
'x,-y,z+1/2'
'x+1/2,y+1/2,z'
'-x+1/2,-y+1/2,-z'
'-x+1/2,y+1/2,-z+1/2'
'x+1/2,-y+1/2,z+1/2'
loop_
_atom_site_label
_atom_site_type_symbol
_atom_site_fract_x
_atom_site_fract_y
_atom_site_fract_z
Ca1 Ca 0.2084 0.1904 0.2448
Nb1 Nb 0.1115 0.3441 0.7641
Fe1 Fe 0.0000 0.1371 0.2500
O1 O 0.0566 0.1446 0.5966
O2 O 0.0706 0.3722 0.0991
O3 O 0.1831 0.4407 0.5182
O4 O 0.1840 0.1445 0.8504
```

Peak list (10 most intense, 2θ from 5° to 70°, sorted by position)
hkl	two_theta	I (rel.)
3 1 0	19.8	37
5 1 0	27.3	65
5 1 -1	31.5	100
5 1 1	32.0	80
0 0 2	32.3	59
0 2 1	32.7	74
4 2 1	38.0	28
5 3 0	49.6	48
8 2 1	50.9	30
0 2 3	57.9	29